(1)
The following is a calculated powder diffraction line list of Zn3AgO3. It was derived from a crystal structure in Alexandria, relaxed with PBE, using Cu Kα X-rays.
Kinematic intensities with the Lorentz-polarization factor, no thermal factor.

Cell: 5.746 5.746 5.746 Å, 90.00 90.00 90.00°
Fractional coordinates of all 14 atoms:
Zn 0.000 0.250 0.500
Zn 0.000 0.750 0.500
Zn 0.250 0.500 0.000
Zn 0.500 0.000 0.250
Zn 0.500 0.000 0.750
Zn 0.750 0.500 0.000
Ag 0.000 0.000 0.000
Ag 0.500 0.500 0.500
O 0.000 0.500 0.250
O 0.000 0.500 0.750
O 0.250 0.000 0.500
O 0.500 0.250 0.000
O 0.500 0.750 0.000
O 0.750 0.000 0.500

Peak list (6 most intense, 10° ≤ 2θ ≤ 90°, in order of falling intensity)
- 38.38°, I 1000
- 60.27°, I 486
- 31.13°, I 449
- 34.92°, I 391
- 64.92°, I 165
- 73.75°, I 128



(2)
The following is a calculated powder diffraction line list of Zn6AgO6. It was derived from a crystal structure in Alexandria, relaxed with PBE, using Cu Kα X-rays.
Kinematic intensities with the Lorentz-polarization factor, no thermal factor.

Cell: 5.712 5.712 5.712 Å, 90.00 90.00 90.00°
Fractional coordinates of all 13 atoms:
Zn 0.000 0.249 0.500
Zn 0.000 0.751 0.500
Zn 0.249 0.500 0.000
Zn 0.500 0.000 0.249
Zn 0.500 0.000 0.751
Zn 0.751 0.500 0.000
Ag 0.000 0.000 0.000
O 0.000 0.500 0.252
O 0.000 0.500 0.748
O 0.252 0.000 0.500
O 0.500 0.252 0.000
O 0.500 0.748 0.000
O 0.748 0.000 0.500

Peak list (6 most intense, 10° ≤ 2θ ≤ 90°, in order of falling intensity)
- 38.61°, I 1000
- 35.13°, I 959
- 60.66°, I 479
- 31.32°, I 451
- 15.51°, I 374
- 65.35°, I 227